(1)
Diffraction record for Lu2B6Ru. The XRD peak list is computed, not measured: it uses a GGA-PBE-relaxed structure and λ = 1.5418 Å (Cu Kα).
Lines closer than 0.1° are merged.

Atomic structure:
abc: 9.022 11.385 3.597
angles: 90.00 90.00 90.00
Space group Pbam (No. 55)
Symmetry-distinct sites (fractional):
Lu (0.056, 0.127, 0.000) (multiplicity 4)
Lu (0.179, 0.414, 0.000) (multiplicity 4)
B (0.018, 0.287, 0.500) (multiplicity 4)
B (0.054, 0.566, 0.500) (multiplicity 4)
B (0.108, 0.970, 0.500) (multiplicity 4)
B (0.132, 0.815, 0.500) (multiplicity 4)
B (0.208, 0.234, 0.500) (multiplicity 4)
B (0.249, 0.579, 0.500) (multiplicity 4)
Ru (0.138, 0.679, 0.000) (multiplicity 4)

Peak list (10 most intense, 2θ from 5° to 70°, low angle first)
d_spacing  I_rel  index
3.597  100  0 0 1
2.906  76  3 1 0
2.846  27  0 4 0
2.714  25  1 4 0
2.659  27  3 2 0
2.261  92  3 1 1
2.232  33  0 4 1
2.167  31  1 4 1
2.138  35  3 2 1
1.530  31  2 7 0

---

(2)
Diffraction record for Na2TlAgF6. The XRD peak list is computed, not measured: it uses a GGA-PBE-relaxed structure and λ = 1.5418 Å (Cu Kα).
Lines closer than 0.1° are merged.

Atomic structure:
abc: 9.070 9.070 9.070
angles: 90.00 90.00 90.00
Space group Fm-3m (No. 225)
Symmetry-distinct sites (fractional):
Na (0.250, 0.250, 0.250) (multiplicity 8)
Tl (0.000, 0.000, 0.000) (multiplicity 4)
Ag (0.000, 0.000, 0.500) (multiplicity 4)
F (0.000, 0.000, 0.243) (multiplicity 24)

Peak list (10 most intense, 2θ from 5° to 70°, low angle first)
d_spacing  I_rel  index
5.237  16  1 1 1
4.535  100  2 0 0
3.207  95  2 2 0
2.735  9  3 1 1
2.268  40  4 0 0
2.028  46  4 2 0
1.851  40  4 2 2
1.603  25  4 4 0
1.512  22  6 0 0
1.434  18  6 2 0

---

(3)
Diffraction record for Ba3LiTi3O8. The XRD peak list is computed, not measured: it uses a GGA-PBE-relaxed structure and λ = 1.5418 Å (Cu Kα).
Lines closer than 0.1° are merged.

Atomic structure:
abc: 10.519 5.714 7.141
angles: 90.00 94.94 90.00
Space group C2/m (No. 12)
Symmetry-distinct sites (fractional):
Ba (0.000, 0.000, 0.000) (multiplicity 2)
Ba (0.196, 0.500, 0.305) (multiplicity 4)
Li (0.000, 0.500, 0.500) (multiplicity 2)
Ti (0.000, 0.000, 0.500) (multiplicity 2)
Ti (0.184, 0.500, 0.812) (multiplicity 4)
O (0.081, 0.259, 0.667) (multiplicity 8)
O (0.168, 0.000, 0.335) (multiplicity 4)
O (0.250, 0.250, 0.000) (multiplicity 4)

Peak list (10 most intense, 2θ from 5° to 70°, low angle first)
d_spacing  I_rel  index
4.023  49  1 1 1
2.980  100  3 1 0
2.960  98  1 1 -2
2.857  49  0 2 0
2.830  60  2 0 2
2.396  47  2 2 -1
2.372  22  0 0 3
2.202  27  4 0 -2
2.011  68  2 2 2
1.480  18  2 2 -4

---

(4)
Diffraction record for NaCu3PbSe4. The XRD peak list is computed, not measured: it uses a GGA-PBE-relaxed structure and λ = 1.5418 Å (Cu Kα).
Lines closer than 0.1° are merged.

Atomic structure:
abc: 6.145 6.145 6.145
angles: 90.00 90.00 90.00
Space group P-43m (No. 215)
Symmetry-distinct sites (fractional):
Na (0.000, 0.000, 0.000) (multiplicity 1)
Cu (0.000, 0.500, 0.500) (multiplicity 3)
Pb (0.500, 0.500, 0.500) (multiplicity 1)
Se (0.254, 0.254, 0.746) (multiplicity 4)

Peak list (10 most intense, 2θ from 5° to 70°, low angle first)
d_spacing  I_rel  index
6.145  77  1 0 0
4.345  27  1 1 0
3.548  47  1 1 1
2.748  40  2 1 0
2.509  14  2 1 1
2.172  100  2 2 0
2.048  24  2 2 1
1.853  21  3 1 1
1.536  16  4 0 0
1.490  13  4 1 0

---

(5)
Diffraction record for SbRhO4. The XRD peak list is computed, not measured: it uses a GGA-PBE-relaxed structure and λ = 1.5418 Å (Cu Kα).
Lines closer than 0.1° are merged.

Atomic structure:
abc: 6.644 6.644 6.340
angles: 90.00 90.00 90.00
Space group I4_1md (No. 109)
Symmetry-distinct sites (fractional):
Sb (0.000, 0.000, 0.000) (multiplicity 4)
Rh (0.000, 0.000, 0.493) (multiplicity 4)
O (0.000, 0.307, 0.493) (multiplicity 8)
O (0.000, 0.309, 0.001) (multiplicity 8)

Peak list (10 most intense, 2θ from 5° to 70°, low angle first)
d_spacing  I_rel  index
3.322  100  2 0 0
2.628  78  1 1 2
2.349  22  2 2 0
2.293  4  2 0 2
1.751  65  3 1 2
1.661  16  4 0 0
1.585  8  0 0 4
1.486  14  4 2 0
1.430  15  2 0 4
1.404  19  3 3 2

---

(6)
Diffraction record for PmAgAu2. The XRD peak list is computed, not measured: it uses a GGA-PBE-relaxed structure and λ = 1.5418 Å (Cu Kα).
Lines closer than 0.1° are merged.

Atomic structure:
abc: 7.059 7.059 7.059
angles: 90.00 90.00 90.00
Space group Fm-3m (No. 225)
Symmetry-distinct sites (fractional):
Pm (0.000, 0.000, 0.000) (multiplicity 4)
Ag (0.000, 0.000, 0.500) (multiplicity 4)
Au (0.250, 0.250, 0.250) (multiplicity 8)

Peak list (7 most intense, 2θ from 5° to 70°, low angle first)
d_spacing  I_rel  index
4.076  1  1 1 1
3.530  5  2 0 0
2.496  100  2 2 0
2.038  2  2 2 2
1.765  18  4 0 0
1.578  2  4 2 0
1.441  36  4 2 2

---

(7)
Diffraction record for Sc6Al16Rh7. The XRD peak list is computed, not measured: it uses a GGA-PBE-relaxed structure and λ = 1.5418 Å (Cu Kα).
Lines closer than 0.1° are merged.

Atomic structure:
abc: 12.391 12.391 12.391
angles: 90.00 90.00 90.00
Space group Fm-3m (No. 225)
Symmetry-distinct sites (fractional):
Sc (0.000, 0.000, 0.204) (multiplicity 24)
Al (0.119, 0.119, 0.381) (multiplicity 32)
Al (0.167, 0.167, 0.167) (multiplicity 32)
Rh (0.000, 0.000, 0.500) (multiplicity 4)
Rh (0.000, 0.250, 0.250) (multiplicity 24)

Peak list (10 most intense, 2θ from 5° to 70°, low angle first)
d_spacing  I_rel  index
3.577  45  2 2 2
3.098  40  4 0 0
2.529  14  4 2 2
2.385  19  3 3 3
2.191  100  4 4 0
2.095  10  5 3 1
1.868  40  6 2 2
1.549  11  8 0 0
1.421  12  6 6 2
1.385  14  8 4 0

---

(8)
Diffraction record for MgCo4Ni2S8. The XRD peak list is computed, not measured: it uses a GGA-PBE-relaxed structure and λ = 1.5418 Å (Cu Kα).
Lines closer than 0.1° are merged.

Atomic structure:
abc: 6.5807 6.5807 17.2888
angles: 90.00 90.00 120.00
Space group R-3m (No. 166, hexagonal axes)
Symmetry-distinct sites (fractional):
Mg (0.0000, 0.0000, 0.0000) (multiplicity 3)
Co (0.0000, 0.0000, 0.5000) (multiplicity 3)
Co (0.0000, 0.5000, 0.0000) (multiplicity 9)
Ni (0.0000, 0.0000, 0.1389) (multiplicity 6)
S (0.0000, 0.0000, 0.2637) (multiplicity 6)
S (0.0302, 0.5151, 0.2507) (multiplicity 18)

Peak list (10 most intense, 2θ from 5° to 70°, low angle first)
d_spacing  I_rel  index
3.290  40  1 1 0
2.956  24  0 1 5
2.857  80  1 1 3
2.812  52  0 2 1
2.379  100  0 2 4
1.866  30  0 2 7
1.828  25  1 2 5
1.804  22  0 3 3
1.722  80  2 0 8
1.645  76  2 2 0